Entry 1:
Structure and computed powder XRD pattern of Cs3NbBr8 (a crystal structure in Alexandria, relaxed with GGA-PBE; CuKα).
Kinematic intensities with the Lorentz-polarization factor, no thermal factor.

Top 10 peaks for 10 to 90 degrees two-theta, in order of rising 2θ:
d (Å)  2theta  Rel. int.
4.223  21.04  53
3.400  26.21  100
3.324  26.82  42
3.119  28.62  29
2.968  30.11  46
2.875  31.10  29
2.696  33.23  72
2.368  38.00  28
1.826  49.93  32
1.796  50.83  23

Structural model:
Lattice parameters (Å, degrees): 10.7752 10.7752 9.9313 90.00 90.00 120.00
Atoms (fractional coordinates):
Cs 0.1524 0.3049 0.0000
Cs 0.1524 0.8476 0.0000
Cs 0.3049 0.1524 0.5000
Cs 0.6951 0.8476 0.0000
Cs 0.8476 0.1524 0.5000
Cs 0.8476 0.6951 0.5000
Nb 0.3333 0.6667 0.4515
Nb 0.6667 0.3333 0.9515
Br 0.0000 0.0000 0.2559
Br 0.0000 0.0000 0.7559
Br 0.1097 0.5549 0.3061
Br 0.2222 0.4443 0.6043
Br 0.2222 0.7778 0.6043
Br 0.3333 0.6667 0.9503
Br 0.4443 0.2222 0.1043
Br 0.4451 0.5549 0.3061
Br 0.4451 0.8903 0.3061
Br 0.5549 0.1097 0.8061
Br 0.5549 0.4451 0.8061
Br 0.5557 0.7778 0.6043
Br 0.6667 0.3333 0.4503
Br 0.7778 0.2222 0.1043
Br 0.7778 0.5557 0.1043
Br 0.8903 0.4451 0.8061


Entry 2:
Structure and computed powder XRD pattern of Sr2Cd16Sn (a crystal structure in Alexandria, relaxed with GGA-PBE; CuKα).
Kinematic intensities with the Lorentz-polarization factor, no thermal factor.

Top 10 peaks for 10 to 90 degrees two-theta, in order of rising 2θ:
d (Å)  2theta  Rel. int.
5.191  17.08  17
2.997  29.81  32
2.876  31.09  21
2.595  34.56  55
2.569  34.92  100
2.494  36.01  55
2.303  39.12  90
2.249  40.10  28
1.498  61.93  26
1.454  64.02  23

Structural model:
Lattice parameters (Å, degrees): 7.7992 7.7992 7.7992 83.45 83.45 83.45
Atoms (fractional coordinates):
Sr 0.0000 0.0000 0.0000
Sr 0.3286 0.3286 0.3286
Cd 0.0181 0.0181 0.4968
Cd 0.0181 0.4968 0.0181
Cd 0.1535 0.6716 0.6716
Cd 0.3090 0.3090 0.8323
Cd 0.3090 0.8323 0.3090
Cd 0.3593 0.6633 0.9705
Cd 0.3593 0.9705 0.6633
Cd 0.4968 0.0181 0.0181
Cd 0.6633 0.3593 0.9705
Cd 0.6633 0.9705 0.3593
Cd 0.6716 0.1535 0.6716
Cd 0.6716 0.6716 0.1535
Cd 0.7624 0.7624 0.7624
Cd 0.8323 0.3090 0.3090
Cd 0.9705 0.3593 0.6633
Cd 0.9705 0.6633 0.3593
Sn 0.5630 0.5630 0.5630